[1]
Calculated PXRD pattern of Y11Sn10 for Cu Ka, from the GGA-PBE geometry in Alexandria.

Peak list (6 most intense, 2θ = 15–90°, sorted by position)
hkl 0 0 6, 2θ = 31.3°, rel. 97
hkl 3 2 3, 2θ = 31.8°, rel. 100
hkl 3 1 4, 2θ = 32.1°, rel. 59
hkl 4 0 2, 2θ = 32.5°, rel. 62
hkl 3 3 0, 2θ = 32.6°, rel. 77
hkl 3 0 5, 2θ = 35.0°, rel. 88

Structural model:
```
data_Y11Sn10
_chemical_formula_sum 'Y44 Sn40'
_cell_length_a 11.6508
_cell_length_b 11.6508
_cell_length_c 17.1155
_cell_angle_alpha 90.00
_cell_angle_beta 90.00
_cell_angle_gamma 90.00
_symmetry_space_group_name_H-M 'I 4/m m m'
_symmetry_Int_Tables_number 139
_symmetry_space_group_name_Hall '-I 4 2'
loop_
_atom_site_label
_atom_site_type_symbol
_atom_site_fract_x
_atom_site_fract_y
_atom_site_fract_z
Y1 Y 0.0000 0.0000 0.1652
Y2 Y 0.0000 0.2512 0.3114
Y3 Y 0.0000 0.3308 0.1022
Y4 Y 0.1739 0.1739 0.5000
Sn1 Sn 0.0000 0.0000 0.3878
Sn2 Sn 0.0000 0.3560 0.5000
Sn3 Sn 0.0000 0.5000 0.2500
Sn4 Sn 0.1290 0.1290 0.0000
Sn5 Sn 0.2059 0.2059 0.1762
```

---

[2]
Calculated PXRD pattern of Y2Zn3Sn for Cu Ka, from the GGA-PBE geometry in Alexandria.

Peak list (6 most intense, 2θ = 15–90°, sorted by position)
hkl 1 1 1, 2θ = 33.5°, rel. 100
hkl 0 1 3, 2θ = 39.7°, rel. 44
hkl 0 2 0, 2θ = 39.9°, rel. 22
hkl 2 0 0, 2θ = 50.0°, rel. 12
hkl 1 2 2, 2θ = 53.0°, rel. 17
hkl 2 1 3, 2θ = 65.6°, rel. 19

Structural model:
```
data_Y2Zn3Sn
_chemical_formula_sum 'Y2 Zn3 Sn1'
_cell_length_a 3.6473
_cell_length_b 4.5193
_cell_length_c 7.8870
_cell_angle_alpha 90.00
_cell_angle_beta 90.00
_cell_angle_gamma 90.00
_symmetry_space_group_name_H-M 'P m m 2'
_symmetry_Int_Tables_number 25
_symmetry_space_group_name_Hall 'P 2 -2'
loop_
_atom_site_label
_atom_site_type_symbol
_atom_site_fract_x
_atom_site_fract_y
_atom_site_fract_z
Y1 Y 0.0000 0.0000 0.0000
Y2 Y 0.0000 0.5000 0.4777
Zn1 Zn 0.5000 0.0000 0.3162
Zn2 Zn 0.5000 0.0000 0.6342
Zn3 Zn 0.5000 0.5000 0.1691
Sn1 Sn 0.5000 0.5000 0.8223
```

---

[3]
Calculated PXRD pattern of YbZnSn for Cu Ka, from the GGA-PBE geometry in Alexandria.

Peak list (6 most intense, 2θ = 15–90°, sorted by position)
hkl 1 0 2, 2θ = 32.8°, rel. 100
hkl 1 1 0, 2θ = 38.4°, rel. 67
hkl 2 0 2, 2θ = 51.4°, rel. 28
hkl 1 1 4, 2θ = 64.2°, rel. 17
hkl 2 1 2, 2θ = 66.0°, rel. 27
hkl 3 0 0, 2θ = 69.5°, rel. 12

Structural model:
```
data_YbZnSn
_chemical_formula_sum 'Yb2 Zn2 Sn2'
_cell_length_a 4.6838
_cell_length_b 4.6838
_cell_length_c 7.3910
_cell_angle_alpha 90.00
_cell_angle_beta 90.00
_cell_angle_gamma 120.00
_symmetry_space_group_name_H-M 'P 63 m c'
_symmetry_Int_Tables_number 186
_symmetry_space_group_name_Hall 'P 6c -2c'
loop_
_atom_site_label
_atom_site_type_symbol
_atom_site_fract_x
_atom_site_fract_y
_atom_site_fract_z
Yb1 Yb 0.0000 0.0000 0.0000
Zn1 Zn 0.3333 0.6667 0.3091
Sn1 Sn 0.3333 0.6667 0.7244
```

---

[4]
Calculated PXRD pattern of Zn12Sn for Cu Ka, from the GGA-PBE geometry in Alexandria.

Peak list (6 most intense, 2θ = 15–90°, sorted by position)
hkl 3 0 1, 2θ = 34.5°, rel. 45
hkl 2 0 2, 2θ = 39.3°, rel. 81
hkl 3 2 1, 2θ = 40.1°, rel. 100
hkl 4 0 0, 2θ = 40.4°, rel. 65
hkl 2 2 2, 2θ = 44.4°, rel. 55
hkl 6 0 2, 2θ = 72.7°, rel. 24

Structural model:
```
data_Zn12Sn
_chemical_formula_sum 'Zn24 Sn2'
_cell_length_a 8.9396
_cell_length_b 8.9396
_cell_length_c 5.3459
_cell_angle_alpha 90.00
_cell_angle_beta 90.00
_cell_angle_gamma 90.00
_symmetry_space_group_name_H-M 'I 4/m m m'
_symmetry_Int_Tables_number 139
_symmetry_space_group_name_Hall '-I 4 2'
loop_
_atom_site_label
_atom_site_type_symbol
_atom_site_fract_x
_atom_site_fract_y
_atom_site_fract_z
Zn1 Zn 0.0000 0.2234 0.0000
Zn2 Zn 0.0000 0.3525 0.5000
Zn3 Zn 0.2500 0.2500 0.2500
Sn1 Sn 0.0000 0.0000 0.5000
```

---

[5]
Calculated PXRD pattern of Zr8ZnSn2 for Cu Ka, from the GGA-PBE geometry in Alexandria.

Peak list (6 most intense, 2θ = 15–90°, sorted by position)
hkl 1 1 2, 2θ = 34.8°, rel. 100
hkl 5 1 -1, 2θ = 35.1°, rel. 98
hkl 4 0 -3, 2θ = 38.5°, rel. 36
hkl 0 2 0, 2θ = 40.8°, rel. 33
hkl 6 0 1, 2θ = 42.4°, rel. 29
hkl 4 2 -3, 2θ = 57.3°, rel. 22

Structural model:
```
data_Zr8ZnSn2
_chemical_formula_sum 'Zr16 Zn2 Sn4'
_cell_length_a 15.7767
_cell_length_b 4.4283
_cell_length_c 7.3616
_cell_angle_alpha 90.00
_cell_angle_beta 108.91
_cell_angle_gamma 90.00
_symmetry_space_group_name_H-M 'C 1 2/m 1'
_symmetry_Int_Tables_number 12
_symmetry_space_group_name_Hall '-C 2y'
loop_
_atom_site_label
_atom_site_type_symbol
_atom_site_fract_x
_atom_site_fract_y
_atom_site_fract_z
Zr1 Zr 0.0456 0.0000 0.2509
Zr2 Zr 0.0894 0.5000 0.9451
Zr3 Zr 0.1391 0.0000 0.6946
Zr4 Zr 0.1798 0.5000 0.4192
Zn1 Zn 0.0000 0.5000 0.5000
Sn1 Sn 0.2197 0.0000 0.1515
```

---

[6]
Calculated PXRD pattern of Zr10Sn7 for Cu Ka, from the GGA-PBE geometry in Alexandria.

Peak list (6 most intense, 2θ = 15–90°, sorted by position)
hkl 3 -1 1, 2θ = 35.0°, rel. 78
hkl 3 0 0, 2θ = 35.8°, rel. 83
hkl 1 1 2, 2θ = 36.7°, rel. 100
hkl 3 1 1, 2θ = 46.1°, rel. 25
hkl 4 -2 2, 2θ = 52.2°, rel. 23
hkl 4 -1 3, 2θ = 64.9°, rel. 25

Structural model:
```
data_Zr10Sn7
_chemical_formula_sum 'Zr10 Sn7'
_cell_length_a 8.6932
_cell_length_b 8.6932
_cell_length_c 5.9340
_cell_angle_alpha 90.00
_cell_angle_beta 90.00
_cell_angle_gamma 120.00
_symmetry_space_group_name_H-M 'P -3 1 m'
_symmetry_Int_Tables_number 162
_symmetry_space_group_name_Hall '-P 3 2'
loop_
_atom_site_label
_atom_site_type_symbol
_atom_site_fract_x
_atom_site_fract_y
_atom_site_fract_z
Zr1 Zr 0.0000 0.2687 0.2683
Zr2 Zr 0.3333 0.6667 0.0000
Zr3 Zr 0.3333 0.6667 0.5000
Sn1 Sn 0.0000 0.0000 0.0000
Sn2 Sn 0.0000 0.3865 0.7579
```

---

[7]
Calculated PXRD pattern of Zr4Sn for Cu Ka, from the GGA-PBE geometry in Alexandria.

Peak list (6 most intense, 2θ = 15–90°, sorted by position)
hkl 1 0 5, 2θ = 35.1°, rel. 100
hkl 2 0 0, 2θ = 36.5°, rel. 25
hkl 0 2 4, 2θ = 38.0°, rel. 19
hkl 2 2 4, 2θ = 53.8°, rel. 14
hkl 3 0 5, 2θ = 64.8°, rel. 16
hkl 1 4 5, 2θ = 72.0°, rel. 13

Structural model:
```
data_Zr4Sn
_chemical_formula_sum 'Zr16 Sn4'
_cell_length_a 4.9194
_cell_length_b 6.1084
_cell_length_c 14.9506
_cell_angle_alpha 90.00
_cell_angle_beta 90.00
_cell_angle_gamma 90.00
_symmetry_space_group_name_H-M 'I m m a'
_symmetry_Int_Tables_number 74
_symmetry_space_group_name_Hall '-I 2b 2'
loop_
_atom_site_label
_atom_site_type_symbol
_atom_site_fract_x
_atom_site_fract_y
_atom_site_fract_z
Zr1 Zr 0.0000 0.0000 0.0000
Zr2 Zr 0.0000 0.0050 0.1972
Zr3 Zr 0.0000 0.2500 0.4014
Sn1 Sn 0.0000 0.2500 0.6104
```

---

[8]
Calculated PXRD pattern of ZrSn2 for Cu Ka, from the GGA-PBE geometry in Alexandria.

Peak list (6 most intense, 2θ = 15–90°, sorted by position)
hkl 1 3 1, 2θ = 33.1°, rel. 100
hkl 0 0 4, 2θ = 35.9°, rel. 40
hkl 2 0 2, 2θ = 36.2°, rel. 79
hkl 1 3 3, 2θ = 42.0°, rel. 52
hkl 1 3 5, 2θ = 56.4°, rel. 22
hkl 3 3 1, 2θ = 56.9°, rel. 22

Structural model:
```
data_ZrSn2
_chemical_formula_sum 'Zr8 Sn16'
_cell_length_a 5.7090
_cell_length_b 9.6931
_cell_length_c 10.0116
_cell_angle_alpha 90.00
_cell_angle_beta 90.00
_cell_angle_gamma 90.00
_symmetry_space_group_name_H-M 'F d d d'
_symmetry_Int_Tables_number 70
loop_
_symmetry_equiv_pos_as_xyz
'x,y,z'
'-x,-y,-z'
'-x+1/4,-y+1/4,z'
'x+1/4,y+1/4,-z'
'x,-y+1/4,-z+1/4'
'-x,y+1/4,z+1/4'
'-x+1/4,y,-z+1/4'
'x+1/4,-y,z+1/4'
'x,y+1/2,z+1/2'
'-x,-y+1/2,-z+1/2'
'-x+1/4,-y+3/4,z+1/2'
'x+1/4,y+3/4,-z+1/2'
'x,-y+3/4,-z+3/4'
'-x,y+3/4,z+3/4'
'-x+1/4,y+1/2,-z+3/4'
'x+1/4,-y+1/2,z+3/4'
'x+1/2,y,z+1/2'
'-x+1/2,-y,-z+1/2'
'-x+3/4,-y+1/4,z+1/2'
'x+3/4,y+1/4,-z+1/2'
'x+1/2,-y+1/4,-z+3/4'
'-x+1/2,y+1/4,z+3/4'
'-x+3/4,y,-z+3/4'
'x+3/4,-y,z+3/4'
'x+1/2,y+1/2,z'
'-x+1/2,-y+1/2,-z'
'-x+3/4,-y+3/4,z'
'x+3/4,y+3/4,-z'
'x+1/2,-y+3/4,-z+1/4'
'-x+1/2,y+3/4,z+1/4'
'-x+3/4,y+1/2,-z+1/4'
'x+3/4,-y+1/2,z+1/4'
loop_
_atom_site_label
_atom_site_type_symbol
_atom_site_fract_x
_atom_site_fract_y
_atom_site_fract_z
Zr1 Zr 0.1250 0.1250 0.1250
Sn1 Sn 0.1250 0.2946 0.6250
```

---

[9]
Calculated PXRD pattern of Zr5Sn2 for Cu Ka, from the GGA-PBE geometry in Alexandria.

Peak list (6 most intense, 2θ = 15–90°, sorted by position)
hkl 0 2 0, 2θ = 35.1°, rel. 35
hkl 4 0 2, 2θ = 35.6°, rel. 100
hkl 1 1 -3, 2θ = 36.0°, rel. 70
hkl 4 2 2, 2θ = 50.8°, rel. 22
hkl 6 0 -4, 2θ = 52.1°, rel. 11
hkl 3 1 5, 2θ = 64.5°, rel. 13

Structural model:
```
data_Zr5Sn2
_chemical_formula_sum 'Zr20 Sn8'
_cell_length_a 14.7024
_cell_length_b 5.1192
_cell_length_c 8.5740
_cell_angle_alpha 90.00
_cell_angle_beta 100.66
_cell_angle_gamma 90.00
_symmetry_space_group_name_H-M 'C 1 2/c 1'
_symmetry_Int_Tables_number 15
_symmetry_space_group_name_Hall '-C 2yc'
loop_
_atom_site_label
_atom_site_type_symbol
_atom_site_fract_x
_atom_site_fract_y
_atom_site_fract_z
Zr1 Zr 0.0000 0.2344 0.2500
Zr2 Zr 0.1368 0.2281 0.9669
Zr3 Zr 0.2065 0.2833 0.3232
Sn1 Sn 0.0864 0.2697 0.6128
```

---

[10]
Calculated PXRD pattern of Sr2Ta for Cu Ka, from the GGA-PBE geometry in Alexandria.

Peak list (6 most intense, 2θ = 15–90°, sorted by position)
hkl 2 1 1, 2θ = 27.9°, rel. 68
hkl 2 2 0, 2θ = 28.1°, rel. 41
hkl 3 1 0, 2θ = 31.5°, rel. 100
hkl 1 1 2, 2θ = 36.8°, rel. 46
hkl 2 0 2, 2θ = 39.5°, rel. 48
hkl 3 3 2, 2θ = 55.6°, rel. 34

Structural model:
```
data_Sr2Ta
_chemical_formula_sum 'Sr8 Ta4'
_cell_length_a 8.9862
_cell_length_b 8.9862
_cell_length_c 5.2909
_cell_angle_alpha 90.00
_cell_angle_beta 90.00
_cell_angle_gamma 90.00
_symmetry_space_group_name_H-M 'I 4/m c m'
_symmetry_Int_Tables_number 140
_symmetry_space_group_name_Hall '-I 4 2c'
loop_
_atom_site_label
_atom_site_type_symbol
_atom_site_fract_x
_atom_site_fract_y
_atom_site_fract_z
Sr1 Sr 0.1611 0.3389 0.0000
Ta1 Ta 0.0000 0.0000 0.2500
```

---

[11]
Calculated PXRD pattern of SrTb4 for Cu Ka, from the GGA-PBE geometry in Alexandria.

Peak list (6 most intense, 2θ = 15–90°, sorted by position)
hkl 1 1 1, 2θ = 27.1°, rel. 100
hkl 2 0 0, 2θ = 31.4°, rel. 91
hkl 2 2 0, 2θ = 44.9°, rel. 67
hkl 3 1 1, 2θ = 53.3°, rel. 47
hkl 2 2 2, 2θ = 55.8°, rel. 24
hkl 4 2 0, 2θ = 74.4°, rel. 30

Structural model:
```
data_SrTb4
_chemical_formula_sum 'Sr1 Tb4'
_cell_length_a 5.7051
_cell_length_b 5.7051
_cell_length_c 5.7051
_cell_angle_alpha 90.00
_cell_angle_beta 90.00
_cell_angle_gamma 90.00
_symmetry_space_group_name_H-M 'P m -3 m'
_symmetry_Int_Tables_number 221
_symmetry_space_group_name_Hall '-P 4 2 3'
loop_
_atom_site_label
_atom_site_type_symbol
_atom_site_fract_x
_atom_site_fract_y
_atom_site_fract_z
Sr1 Sr 0.0000 0.0000 0.0000
Tb1 Tb 0.0000 0.0000 0.5000
Tb2 Tb 0.5000 0.5000 0.5000
```

---

[12]
Calculated PXRD pattern of Sr2TbTe3 for Cu Ka, from the GGA-PBE geometry in Alexandria.

Peak list (6 most intense, 2θ = 15–90°, sorted by position)
hkl 0 4 0, 2θ = 27.4°, rel. 100
hkl 2 4 6, 2θ = 39.2°, rel. 51
hkl 0 0 12, 2θ = 39.3°, rel. 13
hkl 4 4 0, 2θ = 48.4°, rel. 14
hkl 0 4 12, 2θ = 48.6°, rel. 14
hkl 2 8 6, 2θ = 64.0°, rel. 23

Structural model:
```
data_Sr2TbTe3
_chemical_formula_sum 'Sr32 Tb16 Te48'
_cell_length_a 9.2269
_cell_length_b 13.0124
_cell_length_c 27.5057
_cell_angle_alpha 90.00
_cell_angle_beta 90.00
_cell_angle_gamma 90.00
_symmetry_space_group_name_H-M 'F d d d'
_symmetry_Int_Tables_number 70
loop_
_symmetry_equiv_pos_as_xyz
'x,y,z'
'-x,-y,-z'
'-x+1/4,-y+1/4,z'
'x+1/4,y+1/4,-z'
'x,-y+1/4,-z+1/4'
'-x,y+1/4,z+1/4'
'-x+1/4,y,-z+1/4'
'x+1/4,-y,z+1/4'
'x,y+1/2,z+1/2'
'-x,-y+1/2,-z+1/2'
'-x+1/4,-y+3/4,z+1/2'
'x+1/4,y+3/4,-z+1/2'
'x,-y+3/4,-z+3/4'
'-x,y+3/4,z+3/4'
'-x+1/4,y+1/2,-z+3/4'
'x+1/4,-y+1/2,z+3/4'
'x+1/2,y,z+1/2'
'-x+1/2,-y,-z+1/2'
'-x+3/4,-y+1/4,z+1/2'
'x+3/4,y+1/4,-z+1/2'
'x+1/2,-y+1/4,-z+3/4'
'-x+1/2,y+1/4,z+3/4'
'-x+3/4,y,-z+3/4'
'x+3/4,-y,z+3/4'
'x+1/2,y+1/2,z'
'-x+1/2,-y+1/2,-z'
'-x+3/4,-y+3/4,z'
'x+3/4,y+3/4,-z'
'x+1/2,-y+3/4,-z+1/4'
'-x+1/2,y+3/4,z+1/4'
'-x+3/4,y+1/2,-z+1/4'
'x+3/4,-y+1/2,z+1/4'
loop_
_atom_site_label
_atom_site_type_symbol
_atom_site_fract_x
_atom_site_fract_y
_atom_site_fract_z
Sr1 Sr 0.1250 0.1250 0.0434
Sr2 Sr 0.1250 0.1250 0.3730
Tb1 Tb 0.1250 0.1250 0.5416
Te1 Te 0.1090 0.3750 0.8750
Te2 Te 0.1170 0.3678 0.7110
```